Starting from a DFT-relaxed cell (GGA+U, the Materials Project), the powder XRD pattern of RbW3O9 was calculated for Cu Kα X-rays.

Structural model:
abc: 7.5227 13.0865 7.7945
angles: 90.00 90.00 90.00
Space group Cccm (No. 66)
Asymmetric unit:
Rb 0.0000 0.0000 0.2500 [4 per cell]
W 0.0000 0.5000 0.0000 [4 per cell]
W 0.2500 0.2500 0.0000 [4 per cell]
W 0.2500 0.2500 0.5000 [4 per cell]
O 0.0004 0.2105 0.0000 [8 per cell]
O 0.0000 0.5000 0.2500 [4 per cell]
O 0.1820 0.3973 0.0000 [8 per cell]
O 0.1839 0.3949 0.5000 [8 per cell]
O 0.2500 0.2500 0.2590 [8 per cell]

Principal peaks in the range 5° ≤ 2θ ≤ 70°, by angle:
13.6°, intensity 20, hkl 1 1 0
22.8°, intensity 33, hkl 0 0 2
26.6°, intensity 36, hkl 1 1 2
27.3°, intensity 100, hkl 0 4 0
33.1°, intensity 21, hkl 1 3 2
35.9°, intensity 32, hkl 0 4 2
46.6°, intensity 11, hkl 0 0 4
48.2°, intensity 17, hkl 2 6 0
54.9°, intensity 29, hkl 0 4 4
69.3°, intensity 11, hkl 2 6 4

---

Starting from a DFT-relaxed cell (GGA+U, the Materials Project), the powder XRD pattern of LiFe4B4O12 was calculated for Cu Kα X-rays.

Structural model:
abc: 5.2329 9.1801 10.1239
angles: 89.15 89.77 88.90
Space group P1 (No. 1)
Asymmetric unit:
Li 0.0000 0.0000 0.0000 [1 per cell]
Li 0.3396 0.3389 0.2466 [1 per cell]
Fe 0.0079 0.6618 0.4711 [1 per cell]
Fe 0.0241 0.3348 0.9666 [1 per cell]
Fe 0.3394 0.9989 0.2237 [1 per cell]
Fe 0.3452 0.6680 0.7188 [1 per cell]
Fe 0.5090 0.8230 0.9690 [1 per cell]
Fe 0.5105 0.1581 0.4716 [1 per cell]
Fe 0.8446 0.5103 0.2176 [1 per cell]
Fe 0.8496 0.1688 0.7239 [1 per cell]
B 0.0008 0.3327 0.4658 [1 per cell]
B 0.0130 0.6728 0.9719 [1 per cell]
B 0.3400 0.6608 0.2182 [1 per cell]
B 0.3532 0.9958 0.7224 [1 per cell]
B 0.5090 0.8333 0.4719 [1 per cell]
B 0.5175 0.1585 0.9687 [1 per cell]
B 0.8419 0.1744 0.2192 [1 per cell]
B 0.8447 0.4958 0.7169 [1 per cell]
O 0.0058 0.6044 0.6663 [1 per cell]
O 0.0906 0.6608 0.2699 [1 per cell]
O 0.0986 0.0186 0.7337 [1 per cell]
O 0.2548 0.3063 0.4448 [1 per cell]
O 0.2613 0.6711 0.9190 [1 per cell]
O 0.3483 0.7251 0.5223 [1 per cell]
O 0.3855 0.2832 0.9825 [1 per cell]
O 0.3967 0.9643 0.4299 [1 per cell]
O 0.4065 0.0232 0.0054 [1 per cell]
O 0.4306 0.7871 0.1616 [1 per cell]
O 0.4704 0.8647 0.7651 [1 per cell]
O 0.4837 0.5344 0.2259 [1 per cell]
O 0.5096 0.1042 0.6685 [1 per cell]
O 0.5900 0.5199 0.7235 [1 per cell]
O 0.5916 0.1763 0.2701 [1 per cell]
O 0.7636 0.8103 0.4637 [1 per cell]
O 0.7731 0.1532 0.9233 [1 per cell]
O 0.8476 0.2266 0.5238 [1 per cell]
O 0.8717 0.8001 0.9695 [1 per cell]
O 0.8871 0.4648 0.4242 [1 per cell]
O 0.9194 0.5455 0.0262 [1 per cell]
O 0.9543 0.3096 0.1872 [1 per cell]
O 0.9572 0.3658 0.7599 [1 per cell]
O 0.9737 0.0495 0.1954 [1 per cell]

Principal peaks in the range 5° ≤ 2θ ≤ 70°, by angle:
19.4°, intensity 50, hkl 0 2 0
19.7°, intensity 93, hkl 1 -1 0
21.4°, intensity 100, hkl 1 1 -1
21.6°, intensity 63, hkl -1 1 1
26.1°, intensity 79, hkl 1 1 2
26.4°, intensity 60, hkl 1 1 -2
34.3°, intensity 68, hkl 1 -3 0
35.5°, intensity 94, hkl 0 0 4
40.2°, intensity 41, hkl 0 4 1
49.4°, intensity 38, hkl 1 1 -5

---

Starting from a DFT-relaxed cell (GGA+U, the Materials Project), the powder XRD pattern of Li2MnF5 was calculated for Cu Kα X-rays.

Structural model:
abc: 9.9292 5.1362 7.4164
angles: 90.00 109.72 90.00
Space group P2_1/c (No. 14)
Asymmetric unit:
Li 0.0193 0.1985 0.1228 [4 per cell]
Li 0.2454 0.2448 0.9720 [4 per cell]
Mn 0.3568 0.7448 0.7142 [4 per cell]
F 0.0530 0.1429 0.8711 [4 per cell]
F 0.1919 0.5789 0.0820 [4 per cell]
F 0.2560 0.0732 0.2412 [4 per cell]
F 0.3568 0.5910 0.4614 [4 per cell]
F 0.4645 0.0760 0.6670 [4 per cell]

Principal peaks in the range 5° ≤ 2θ ≤ 70°, by angle:
9.5°, intensity 100, hkl 1 0 0
19.7°, intensity 47, hkl 1 1 0
24.0°, intensity 34, hkl 1 0 -2
25.8°, intensity 66, hkl 2 1 0
31.6°, intensity 25, hkl 2 1 -2
39.5°, intensity 24, hkl 3 1 1
40.0°, intensity 30, hkl 2 2 -1
40.6°, intensity 27, hkl 1 1 -3
52.9°, intensity 22, hkl 4 2 -2
53.9°, intensity 24, hkl 3 1 -4

---

Starting from a DFT-relaxed cell (GGA+U, the Materials Project), the powder XRD pattern of LiFeF4 was calculated for Cu Kα X-rays.

Structural model:
abc: 7.7690 7.7690 7.9175
angles: 90.00 90.00 120.00
Space group P3_1 (No. 144)
Asymmetric unit:
Li 0.0176 0.3370 0.0000 [3 per cell]
Li 0.5129 0.3786 0.0558 [3 per cell]
Fe 0.0045 0.8007 0.0485 [3 per cell]
Fe 0.0741 0.5749 0.3981 [3 per cell]
F 0.0441 0.3499 0.2592 [3 per cell]
F 0.0997 0.0590 0.1583 [3 per cell]
F 0.1143 0.7156 0.6056 [3 per cell]
F 0.2408 0.7395 0.1843 [3 per cell]
F 0.2986 0.2329 0.6321 [3 per cell]
F 0.3190 0.0405 0.4056 [3 per cell]
F 0.4352 0.4130 0.2832 [3 per cell]
F 0.5806 0.1878 0.1502 [3 per cell]

Principal peaks in the range 5° ≤ 2θ ≤ 70°, by angle:
13.2°, intensity 21, hkl 1 0 0
17.3°, intensity 100, hkl 1 0 1
22.9°, intensity 30, hkl 1 1 0
25.5°, intensity 52, hkl 2 -1 1
26.1°, intensity 41, hkl 1 0 2
28.8°, intensity 68, hkl 0 2 1
42.2°, intensity 60, hkl 3 -2 2
49.8°, intensity 19, hkl 1 2 3
50.2°, intensity 30, hkl 1 3 1
53.7°, intensity 22, hkl 0 2 4